Simulated powder diffraction line list
Compound: Cs3Ge4I12
Radiation: CuKα
Structure: DFT lattice parameters and positions (GGA-PBE)
No peak broadening, texture or thermal motion is included.

Principal peaks in the range 2θ from 5° to 70°, in order of rising 2θ:
d (Å)  intensity
8.370  9
5.919  19
4.833  4
3.417  100
2.959  97
2.647  10
2.093  72
1.973  5
1.785  46
1.709  25
1.480  12
1.358  19

```
data_Cs3Ge4I12
_space_group_name_H-M_alt 'I m -3'
_space_group_IT_number 204
_space_group_name_Hall '-I 2 2 3'
_cell_length_a 11.8372
_cell_length_b 11.8372
_cell_length_c 11.8372
_cell_angle_alpha 90.00
_cell_angle_beta 90.00
_cell_angle_gamma 90.00
loop_
_atom_site_label
_atom_site_fract_x
_atom_site_fract_y
_atom_site_fract_z
Cs1 0.0000 0.0000 0.5000
Ge1 0.2500 0.2500 0.2500
I1 0.0000 0.2511 0.2517
```